Record 1
# PmAg2Au4
Computed X-ray powder pattern, Cu Kα X-rays. Input: a DFT-relaxed cell (GGA-PBE, Alexandria).
No peak broadening, texture or thermal motion is included.

Crystal structure
Cell: 5.7860 5.7860 5.4036 Å, 117.72 117.72 77.42°
Atoms (fractional coordinates):
Pm 0.0000 0.0000 0.0000
Ag 0.4997 0.4997 0.2495
Ag 0.5003 0.5003 0.7505
Au 0.9997 0.3918 0.6957
Au 0.0003 0.6082 0.3043
Au 0.3918 0.9997 0.6957
Au 0.6082 0.0003 0.3043

Most intense lines, 15 to 90 degrees two-theta, sorted by position:
two_theta  I/Imax
32.22  85.5
33.16  40.6
35.04  100.0
37.64  47.9
40.91  61.5
40.97  60.8
41.69  62.0
48.33  32.6
64.61  45.0
72.44  29.6

---

Record 2
# Pm2AgAu5
Computed X-ray powder pattern, Cu Kα X-rays. Input: a DFT-relaxed cell (GGA-PBE, Alexandria).
No peak broadening, texture or thermal motion is included.

Crystal structure
Cell: 6.1830 6.1746 6.5788 Å, 57.90 57.77 64.33°
Atoms (fractional coordinates):
Pm 0.0000 0.0000 0.5000
Pm 0.5000 0.5000 0.0000
Ag 0.4247 0.4247 0.5753
Au 0.0591 0.0591 0.9409
Au 0.5314 0.9637 0.0363
Au 0.5320 0.9631 0.4680
Au 0.9631 0.5320 0.0369
Au 0.9637 0.5314 0.4686

Most intense lines, 15 to 90 degrees two-theta, sorted by position:
two_theta  I/Imax
32.36  13.8
35.09  100.0
35.82  13.6
38.71  40.4
42.70  14.3
44.56  9.8
55.90  11.1
60.48  12.2
67.67  9.6
67.80  9.4

---

Record 3
# Pm3Ag2Au5
Computed X-ray powder pattern, Cu Kα X-rays. Input: a DFT-relaxed cell (GGA-PBE, Alexandria).
No peak broadening, texture or thermal motion is included.

Crystal structure
Cell: 10.0754 10.0754 6.2029 Å, 107.93 107.93 109.69°
Atoms (fractional coordinates):
Pm 0.1497 0.3087 0.9798
Pm 0.2309 0.7691 0.7500
Pm 0.3087 0.1497 0.4798
Pm 0.6913 0.8503 0.5202
Pm 0.7691 0.2309 0.2500
Pm 0.8503 0.6913 0.0202
Ag 0.1565 0.3822 0.5197
Ag 0.3822 0.1565 0.0197
Ag 0.6178 0.8435 0.9803
Ag 0.8435 0.6178 0.4803
Au 0.0001 0.5000 0.2242
Au 0.9999 0.5000 0.7758
Au 0.0442 0.9558 0.7500
Au 0.2095 0.7905 0.2500
Au 0.4844 0.5156 0.7500
Au 0.5000 0.9999 0.2758
Au 0.5000 0.0001 0.7242
Au 0.5156 0.4844 0.2500
Au 0.7905 0.2095 0.7500
Au 0.9558 0.0442 0.2500

Most intense lines, 15 to 90 degrees two-theta, sorted by position:
two_theta  I/Imax
21.58  32.0
28.31  27.9
28.79  34.2
30.80  28.5
34.21  21.0
35.91  69.9
36.66  58.4
37.54  27.7
40.81  100.0
68.82  18.7

---

Record 4
# Pm3Ag5Au2
Computed X-ray powder pattern, Cu Kα X-rays. Input: a DFT-relaxed cell (GGA-PBE, Alexandria).
No peak broadening, texture or thermal motion is included.

Crystal structure
Cell: 8.2087 8.2834 8.5732 Å, 116.47 93.29 115.11°
Atoms (fractional coordinates):
Pm 0.2200 0.3237 0.3806
Pm 0.2483 0.6326 0.1229
Pm 0.2762 0.1167 0.8706
Pm 0.7238 0.8833 0.1294
Pm 0.7517 0.3674 0.8771
Pm 0.7800 0.6763 0.6194
Ag 0.0124 0.1728 0.6531
Ag 0.1300 0.5909 0.7495
Ag 0.2175 0.7415 0.5157
Ag 0.4011 0.1118 0.4997
Ag 0.4810 0.1200 0.1834
Ag 0.5190 0.8800 0.8166
Ag 0.5989 0.8882 0.5003
Ag 0.7825 0.2585 0.4843
Ag 0.8700 0.4091 0.2505
Ag 0.9876 0.8272 0.3469
Au 0.0580 0.8621 0.0361
Au 0.4376 0.4820 0.7921
Au 0.5624 0.5180 0.2079
Au 0.9420 0.1379 0.9639

Most intense lines, 15 to 90 degrees two-theta, sorted by position:
two_theta  I/Imax
31.55  57.4
32.54  88.3
33.14  43.8
33.94  82.1
35.12  100.0
36.12  45.5
36.60  75.9
36.95  72.6
37.25  35.4
37.79  78.5

---

Record 5
# Pm2AgAu6
Computed X-ray powder pattern, Cu Kα X-rays. Input: a DFT-relaxed cell (GGA-PBE, Alexandria).
No peak broadening, texture or thermal motion is included.

Crystal structure
Cell: 6.3448 6.3448 5.6384 Å, 90.00 90.00 120.00°
Atoms (fractional coordinates):
Pm 0.3333 0.6667 0.1698
Pm 0.6667 0.3333 0.8302
Ag 0.0000 0.0000 0.0000
Au 0.1843 0.3686 0.6795
Au 0.1843 0.8157 0.6795
Au 0.3686 0.1843 0.3205
Au 0.6314 0.8157 0.6795
Au 0.8157 0.1843 0.3205
Au 0.8157 0.6314 0.3205

Most intense lines, 15 to 90 degrees two-theta, sorted by position:
two_theta  I/Imax
31.74  11.6
32.38  17.2
32.59  18.6
35.80  26.4
36.38  100.0
46.13  23.7
52.53  10.8
58.16  20.2
67.17  13.3
70.57  11.8

---

Record 6
# PrAg5Au7
Computed X-ray powder pattern, Cu Kα X-rays. Input: a DFT-relaxed cell (GGA-PBE, Alexandria).
No peak broadening, texture or thermal motion is included.

Crystal structure
Cell: 7.2920 7.2920 5.6087 Å, 112.25 112.25 82.30°
Atoms (fractional coordinates):
Pr 0.0000 0.0000 0.0000
Ag 0.0083 0.5096 0.0093
Ag 0.0115 0.5111 0.5134
Ag 0.2387 0.2387 0.7381
Ag 0.5096 0.0083 0.0093
Ag 0.5111 0.0115 0.5134
Au 0.2129 0.8091 0.5103
Au 0.3468 0.3468 0.3429
Au 0.3559 0.6656 0.0152
Au 0.6570 0.6570 0.6598
Au 0.6656 0.3559 0.0152
Au 0.7874 0.7874 0.2899
Au 0.8091 0.2129 0.5103

Most intense lines, 15 to 90 degrees two-theta, sorted by position:
two_theta  I/Imax
31.91  51.8
32.21  61.4
37.12  54.8
37.44  100.0
37.56  83.2
37.92  42.4
41.75  54.0
42.03  73.2
42.24  46.1
42.53  41.4

---

Record 7
# PrAg6Au2
Computed X-ray powder pattern, Cu Kα X-rays. Input: a DFT-relaxed cell (GGA-PBE, Alexandria).
No peak broadening, texture or thermal motion is included.

Crystal structure
Cell: 8.4334 8.4334 3.0318 Å, 100.27 100.27 58.54°
Atoms (fractional coordinates):
Pr 0.0000 0.0000 0.0000
Ag 0.0030 0.6476 0.3252
Ag 0.3347 0.6653 0.5000
Ag 0.3524 0.9970 0.6748
Ag 0.6476 0.0030 0.3252
Ag 0.6653 0.3347 0.5000
Ag 0.9970 0.3524 0.6748
Au 0.3475 0.3475 0.8475
Au 0.6525 0.6525 0.1525

Most intense lines, 15 to 90 degrees two-theta, sorted by position:
two_theta  I/Imax
33.87  48.9
37.34  53.6
37.47  46.9
37.71  100.0
40.40  45.9
41.48  18.0
48.89  15.0
54.17  14.4
58.67  17.0
74.06  19.5

---

Record 8
# Pr6AgAu5
Computed X-ray powder pattern, Cu Kα X-rays. Input: a DFT-relaxed cell (GGA-PBE, Alexandria).
No peak broadening, texture or thermal motion is included.

Crystal structure
Cell: 9.1864 9.1864 5.3170 Å, 106.63 106.63 47.84°
Atoms (fractional coordinates):
Pr 0.0796 0.5834 0.3315
Pr 0.2456 0.7544 0.0000
Pr 0.4166 0.9204 0.6685
Pr 0.5834 0.0796 0.3315
Pr 0.7544 0.2456 0.0000
Pr 0.9204 0.4166 0.6685
Ag 0.5000 0.5000 0.5000
Au 0.0000 0.0000 0.5000
Au 0.1675 0.1675 0.1671
Au 0.3403 0.3403 0.8399
Au 0.6597 0.6597 0.1601
Au 0.8325 0.8325 0.8329

Most intense lines, 15 to 90 degrees two-theta, sorted by position:
two_theta  I/Imax
33.71  50.5
33.88  100.0
48.33  9.2
48.52  9.1
48.91  9.0
60.34  18.8
60.47  18.7
60.72  18.6
80.74  8.2
81.68  8.2

---

Record 9
# Pr3Ag3Au2
Computed X-ray powder pattern, Cu Kα X-rays. Input: a DFT-relaxed cell (GGA-PBE, Alexandria).
No peak broadening, texture or thermal motion is included.

Crystal structure
Cell: 5.7988 5.7988 17.5648 Å, 90.00 90.00 137.05°
Atoms (fractional coordinates):
Pr 0.0681 0.9319 0.6045
Pr 0.0681 0.9319 0.8955
Pr 0.3357 0.6643 0.7500
Pr 0.6643 0.3357 0.2500
Pr 0.9319 0.0681 0.1045
Pr 0.9319 0.0681 0.3955
Ag 0.3687 0.6313 0.5277
Ag 0.3687 0.6313 0.9723
Ag 0.3846 0.6154 0.2500
Ag 0.6154 0.3846 0.7500
Ag 0.6313 0.3687 0.0277
Ag 0.6313 0.3687 0.4723
Au 0.2203 0.7797 0.1203
Au 0.2203 0.7797 0.3797
Au 0.7797 0.2203 0.6203
Au 0.7797 0.2203 0.8797

Most intense lines, 15 to 90 degrees two-theta, sorted by position:
two_theta  I/Imax
30.43  100.0
33.03  26.7
33.61  29.4
34.15  33.4
36.14  82.9
38.69  36.0
39.19  28.3
41.11  22.5
42.58  39.9
49.63  20.2

---

Record 10
# Pr3AgAu4
Computed X-ray powder pattern, Cu Kα X-rays. Input: a DFT-relaxed cell (GGA-PBE, Alexandria).
No peak broadening, texture or thermal motion is included.

Crystal structure
Cell: 8.3520 8.3520 8.3520 Å, 151.52 128.74 59.68°
Atoms (fractional coordinates):
Pr 0.0000 0.0000 0.0000
Pr 0.3162 0.8162 0.5000
Pr 0.6838 0.1838 0.5000
Ag 0.5000 0.5000 0.0000
Au 0.0696 0.3710 0.6986
Au 0.3276 0.6290 0.6986
Au 0.6724 0.3710 0.3014
Au 0.9304 0.6290 0.3014

Most intense lines, 15 to 90 degrees two-theta, sorted by position:
two_theta  I/Imax
22.50  37.2
24.58  29.9
27.85  59.2
33.61  57.9
35.08  56.6
35.29  42.7
38.03  100.0
41.92  29.8
44.09  36.1
68.76  30.0

---

Record 11
# PrSi2AgAu5
Computed X-ray powder pattern, Cu Kα X-rays. Input: a DFT-relaxed cell (GGA-PBE, Alexandria).
No peak broadening, texture or thermal motion is included.

Crystal structure
Cell: 4.8917 4.8917 7.5263 Å, 90.00 90.00 90.00°
Atoms (fractional coordinates):
Pr 0.0000 0.0000 0.0000
Si 0.5000 0.5000 0.3404
Si 0.5000 0.5000 0.6596
Ag 0.0000 0.0000 0.5000
Au 0.0000 0.5000 0.2691
Au 0.0000 0.5000 0.7309
Au 0.5000 0.0000 0.2691
Au 0.5000 0.0000 0.7309
Au 0.5000 0.5000 0.0000

Most intense lines, 15 to 90 degrees two-theta, sorted by position:
two_theta  I/Imax
28.40  10.2
35.24  100.0
36.74  52.8
48.37  9.0
52.94  18.6
62.25  16.9
65.21  33.9
74.52  10.1
88.74  7.8
89.63  9.1

---

Record 12
# SrPrAgAu
Computed X-ray powder pattern, Cu Kα X-rays. Input: a DFT-relaxed cell (GGA-PBE, Alexandria).
No peak broadening, texture or thermal motion is included.

Crystal structure
Cell: 4.8842 6.1624 6.1624 Å, 38.49 90.00 90.00°
Atoms (fractional coordinates):
Sr 0.0000 0.0000 0.0000
Pr 0.5000 0.7248 0.7248
Ag 0.5000 0.4370 0.4370
Au 0.0000 0.2765 0.2765

Most intense lines, 15 to 90 degrees two-theta, sorted by position:
two_theta  I/Imax
15.23  33.2
29.61  100.0
30.74  25.6
31.90  15.9
35.93  30.2
36.80  34.8
36.95  89.1
44.61  20.2
59.16  17.3
72.63  16.3

---

Record 13
# Ag8Pt2Au
Computed X-ray powder pattern, Cu Kα X-rays. Input: a DFT-relaxed cell (GGA-PBE, Alexandria).
No peak broadening, texture or thermal motion is included.

Crystal structure
Cell: 7.7370 7.7370 6.4590 Å, 103.92 103.92 30.70°
Atoms (fractional coordinates):
Ag 0.0482 0.0482 0.2279
Ag 0.1377 0.1377 0.6866
Ag 0.3161 0.3161 0.5893
Ag 0.4071 0.4071 0.0420
Ag 0.5929 0.5929 0.9580
Ag 0.6839 0.6839 0.4107
Ag 0.8623 0.8623 0.3134
Ag 0.9518 0.9518 0.7721
Pt 0.2285 0.2285 0.1301
Pt 0.7715 0.7715 0.8699
Au 0.5000 0.5000 0.5000

Most intense lines, 15 to 90 degrees two-theta, sorted by position:
two_theta  I/Imax
37.90  100.0
43.51  16.8
44.22  16.3
44.42  15.8
63.77  10.7
64.47  10.3
76.13  12.4
77.14  12.1
77.44  11.8
80.96  5.3